HoHfNp2N4: calculated X-ray powder pattern (λ = 1.5418 Å (Cu Kα)), based on a DFT-relaxed cell (PBE, Alexandria).

Peak list (8 most intense, 10 to 90 degrees two-theta, low angle first)
| index | 2θ (°) | d_spacing | Rel. int. |
| --- | --- | --- | --- |
| 0 0 2 | 32.1 | 2.787 | 39 |
| 2 0 0 | 32.4 | 2.760 | 38 |
| 1 1 -1 | 32.6 | 2.749 | 75 |
| 1 1 1 | 37.6 | 2.391 | 100 |
| 1 1 -3 | 54.0 | 1.697 | 23 |
| 3 1 -1 | 54.5 | 1.685 | 23 |
| 1 1 3 | 64.2 | 1.451 | 18 |
| 3 1 -3 | 64.8 | 1.439 | 22 |

Cell and atoms:
a = 5.8423 Å, b = 3.3593 Å, c = 5.8995 Å
α = 90.00°, β = 109.11°, γ = 90.00°
Space group P2/m (No. 10)
Symmetry-distinct sites (fractional):
1 Ho 0.0000 0.0000 0.0000
2 Hf 0.5000 0.5000 0.0000
3 Np 0.0000 0.5000 0.5000
4 Np 0.5000 0.0000 0.5000
5 N 0.2647 0.5000 0.2450
6 N 0.2693 0.0000 0.7653


HoPuHf2N4: calculated X-ray powder pattern (λ = 1.5418 Å (Cu Kα)), based on a DFT-relaxed cell (PBE, Alexandria).

Peak list (8 most intense, 10 to 90 degrees two-theta, low angle first)
| index | 2θ (°) | d_spacing | Rel. int. |
| --- | --- | --- | --- |
| 0 0 2 | 32.5 | 2.752 | 35 |
| 2 0 0 | 33.1 | 2.707 | 100 |
| 1 1 1 | 38.2 | 2.354 | 90 |
| 2 0 2 | 54.8 | 1.675 | 31 |
| 0 2 0 | 55.6 | 1.654 | 30 |
| 1 1 3 | 65.2 | 1.431 | 15 |
| 3 1 1 | 65.9 | 1.418 | 30 |
| 4 0 0 | 69.4 | 1.353 | 16 |

Cell and atoms:
a = 5.7258 Å, b = 3.3115 Å, c = 5.8253 Å
α = 90.00°, β = 109.13°, γ = 90.00°
Space group P2/m (No. 10)
Symmetry-distinct sites (fractional):
1 Ho 0.0000 0.0000 0.0000
2 Pu 0.5000 0.5000 0.0000
3 Hf 0.0000 0.5000 0.5000
4 Hf 0.5000 0.0000 0.5000
5 N 0.2405 0.0000 0.7249
6 N 0.2563 0.5000 0.2749


YHoHf2N4: calculated X-ray powder pattern (λ = 1.5418 Å (Cu Kα)), based on a DFT-relaxed cell (PBE, Alexandria).

Peak list (8 most intense, 10 to 90 degrees two-theta, low angle first)
| index | 2θ (°) | d_spacing | Rel. int. |
| --- | --- | --- | --- |
| 0 0 2 | 32.7 | 2.739 | 35 |
| 2 0 0 | 33.1 | 2.703 | 100 |
| 1 1 1 | 38.3 | 2.348 | 96 |
| 2 0 2 | 55.0 | 1.669 | 33 |
| 0 2 0 | 55.6 | 1.652 | 32 |
| 1 1 3 | 65.5 | 1.425 | 15 |
| 0 2 2 | 66.0 | 1.415 | 20 |
| 2 2 0 | 66.3 | 1.410 | 14 |

Cell and atoms:
a = 5.7189 Å, b = 3.3070 Å, c = 5.8035 Å
α = 90.00°, β = 109.27°, γ = 90.00°
Space group P2/m (No. 10)
Symmetry-distinct sites (fractional):
1 Y 0.0000 0.0000 0.0000
2 Ho 0.5000 0.5000 0.0000
3 Hf 0.0000 0.5000 0.5000
4 Hf 0.5000 0.0000 0.5000
5 N 0.2434 0.0000 0.7260
6 N 0.2594 0.5000 0.2750


Ho2HfNpP4: calculated X-ray powder pattern (λ = 1.5418 Å (Cu Kα)), based on a DFT-relaxed cell (PBE, Alexandria).

Peak list (8 most intense, 10 to 90 degrees two-theta, low angle first)
| index | 2θ (°) | d_spacing | Rel. int. |
| --- | --- | --- | --- |
| 0 0 2 | 28.0 | 3.190 | 34 |
| 2 0 0 | 28.1 | 3.178 | 100 |
| 1 1 1 | 32.5 | 2.758 | 92 |
| 2 0 -2 | 32.6 | 2.749 | 46 |
| 2 0 2 | 46.6 | 1.951 | 50 |
| 0 2 0 | 46.7 | 1.945 | 50 |
| 2 0 -4 | 55.3 | 1.662 | 38 |
| 2 2 -2 | 58.0 | 1.589 | 26 |

Cell and atoms:
a = 6.7323 Å, b = 3.8947 Å, c = 6.7569 Å
α = 90.00°, β = 109.22°, γ = 90.00°
Space group P2/m (No. 10)
Symmetry-distinct sites (fractional):
1 Ho 0.0000 0.0000 0.0000
2 Ho 0.5000 0.5000 0.0000
3 Hf 0.0000 0.5000 0.5000
4 Np 0.5000 0.0000 0.5000
5 P 0.2389 0.0000 0.7361
6 P 0.2456 0.5000 0.2592